# KAc2HgS4
Computed PXRD pattern, Cu Ka. Input: a GGA-PBE-relaxed structure.
No peak broadening, texture or thermal motion is included.

Largest 12 diffraction maxima, most intense first, 10 to 80 degrees two-theta:
| 2θ/deg | Rel. int. |
| --- | --- |
| 13.6 | 100 |
| 29.6 | 76 |
| 27.2 | 52 |
| 41.2 | 48 |
| 23.8 | 41 |
| 31.9 | 38 |
| 24.7 | 32 |
| 32.5 | 25 |
| 40.2 | 22 |
| 52.2 | 20 |
| 35.3 | 19 |
| 21.4 | 18 |

Structural model:
Lattice parameters (Å, degrees): 4.4867 14.4307 15.2432 90.00 90.00 90.00
Space group Cmcm (No. 63)
Inequivalent atoms, fractional coordinates:
K1 0.0000 0.1185 0.2500 (multiplicity 4)
Ac1 0.0000 0.3699 0.0655 (multiplicity 8)
Hg1 0.0000 0.1507 0.7500 (multiplicity 4)
S1 0.0000 0.0000 0.0000 (multiplicity 4)
S2 0.0000 0.2644 0.6022 (multiplicity 8)
S3 0.0000 0.4532 0.2500 (multiplicity 4)